1.
This entry pairs a crystal structure of Cd2AgAu7 with its computed XRD peak list. Radiation: Cu Kα (weighted mean of Kα1 and Kα2). Structure: a crystal structure in Alexandria, relaxed with PBE.

Cell and atoms:
Cell: 8.222 8.222 4.366 Å, 90.00 90.00 125.79°
Fractional coordinates of all 10 atoms:
Cd: 0.198 0.802 0.000
Cd: 0.802 0.198 0.000
Ag: 0.500 0.500 0.500
Au: 0.000 0.000 0.000
Au: 0.215 0.413 0.000
Au: 0.313 0.687 0.500
Au: 0.413 0.215 0.000
Au: 0.587 0.785 0.000
Au: 0.687 0.313 0.500
Au: 0.785 0.587 0.000

Largest 12 diffraction maxima, in order of rising 2θ, 10° ≤ 2θ ≤ 80°:
| Position (°2θ) | intensity |
| --- | --- |
| 13.28 | 27 |
| 20.34 | 44 |
| 23.74 | 31 |
| 24.36 | 22 |
| 31.47 | 24 |
| 34.25 | 31 |
| 38.94 | 100 |
| 41.36 | 43 |
| 42.14 | 70 |
| 44.31 | 30 |
| 62.21 | 22 |
| 74.36 | 27 |

=====

2.
This entry pairs a crystal structure of La3NpP4 with its computed XRD peak list. Radiation: Cu Kα (weighted mean of Kα1 and Kα2). Structure: a crystal structure in Alexandria, relaxed with PBE.

Cell and atoms:
Cell: 7.272 8.389 7.249 Å, 90.00 109.55 90.00°
Fractional coordinates of all 16 atoms:
La: 0.000 0.124 0.250
La: 0.000 0.374 0.750
La: 0.000 0.626 0.250
La: 0.000 0.876 0.750
La: 0.500 0.374 0.250
La: 0.500 0.626 0.750
Np: 0.500 0.123 0.750
Np: 0.500 0.877 0.250
P: 0.257 0.365 0.511
P: 0.257 0.635 0.011
P: 0.268 0.116 0.998
P: 0.268 0.884 0.498
P: 0.732 0.116 0.502
P: 0.732 0.884 0.002
P: 0.743 0.365 0.989
P: 0.743 0.635 0.489

Largest 12 diffraction maxima, in order of rising 2θ, 10° ≤ 2θ ≤ 80°:
| Position (°2θ) | intensity |
| --- | --- |
| 26.03 | 87 |
| 30.15 | 100 |
| 43.11 | 37 |
| 43.21 | 37 |
| 51.07 | 33 |
| 51.17 | 11 |
| 53.51 | 19 |
| 62.68 | 12 |
| 68.98 | 9 |
| 71.05 | 17 |
| 71.19 | 17 |
| 79.08 | 14 |

=====

3.
This entry pairs a crystal structure of CeAl5Ag2 with its computed XRD peak list. Radiation: Cu Kα (weighted mean of Kα1 and Kα2). Structure: a crystal structure in Alexandria, relaxed with PBE.

Cell and atoms:
Cell: 6.648 6.648 6.648 Å, 143.79 113.08 78.53°
Fractional coordinates of all 8 atoms:
Ce: 0.000 0.000 0.000
Al: 0.175 0.364 0.811
Al: 0.447 0.636 0.811
Al: 0.500 0.000 0.500
Al: 0.553 0.364 0.189
Al: 0.825 0.636 0.189
Ag: 0.250 0.750 0.500
Ag: 0.750 0.250 0.500

Largest 12 diffraction maxima, in order of rising 2θ, 10° ≤ 2θ ≤ 80°:
| Position (°2θ) | intensity |
| --- | --- |
| 14.84 | 16 |
| 24.28 | 39 |
| 28.73 | 11 |
| 30.30 | 100 |
| 33.83 | 32 |
| 33.96 | 22 |
| 34.86 | 13 |
| 42.95 | 45 |
| 43.82 | 20 |
| 46.65 | 33 |
| 59.70 | 16 |
| 63.02 | 23 |

=====

4.
This entry pairs a crystal structure of Hg4SbSe6 with its computed XRD peak list. Radiation: Cu Kα (weighted mean of Kα1 and Kα2). Structure: a crystal structure in Alexandria, relaxed with PBE.

Cell and atoms:
Cell: 7.688 7.688 13.349 Å, 107.23 107.23 60.36°
Fractional coordinates of all 22 atoms:
Hg: 0.079 0.921 0.500
Hg: 0.240 0.419 0.994
Hg: 0.419 0.240 0.494
Hg: 0.438 0.809 0.841
Hg: 0.698 0.911 0.192
Hg: 0.809 0.438 0.341
Hg: 0.911 0.698 0.692
Hg: 0.921 0.079 0.000
Sb: 0.250 0.838 0.239
Sb: 0.838 0.250 0.739
Se: 0.055 0.575 0.505
Se: 0.103 0.571 0.193
Se: 0.113 0.208 0.199
Se: 0.161 0.720 0.883
Se: 0.208 0.113 0.699
Se: 0.418 0.853 0.436
Se: 0.571 0.103 0.693
Se: 0.575 0.055 0.005
Se: 0.580 0.613 0.162
Se: 0.613 0.580 0.662
Se: 0.720 0.161 0.383
Se: 0.853 0.418 0.936

Largest 12 diffraction maxima, in order of rising 2θ, 10° ≤ 2θ ≤ 80°:
| Position (°2θ) | intensity |
| --- | --- |
| 23.30 | 27 |
| 24.13 | 100 |
| 27.10 | 38 |
| 27.25 | 47 |
| 28.30 | 31 |
| 29.29 | 37 |
| 31.45 | 31 |
| 40.48 | 37 |
| 43.02 | 56 |
| 43.16 | 26 |
| 43.28 | 25 |
| 47.63 | 22 |

=====

5.
This entry pairs a crystal structure of AcSm4Pb4 with its computed XRD peak list. Radiation: Cu Kα (weighted mean of Kα1 and Kα2). Structure: a crystal structure in Alexandria, relaxed with PBE.

Cell and atoms:
Cell: 7.971 7.971 7.971 Å, 99.10 99.10 133.12°
Fractional coordinates of all 9 atoms:
Ac: 0.000 0.000 0.000
Sm: 0.182 0.607 0.790
Sm: 0.393 0.182 0.575
Sm: 0.607 0.818 0.425
Sm: 0.818 0.393 0.210
Pb: 0.115 0.307 0.421
Pb: 0.307 0.885 0.192
Pb: 0.693 0.115 0.808
Pb: 0.885 0.693 0.579

Largest 12 diffraction maxima, in order of rising 2θ, 10° ≤ 2θ ≤ 80°:
| Position (°2θ) | intensity |
| --- | --- |
| 16.40 | 19 |
| 27.27 | 100 |
| 28.14 | 48 |
| 38.94 | 38 |
| 39.59 | 75 |
| 48.74 | 40 |
| 56.25 | 12 |
| 63.62 | 17 |
| 64.07 | 17 |
| 65.42 | 18 |
| 70.96 | 26 |
| 72.26 | 15 |

=====

6.
This entry pairs a crystal structure of SmPuHgRu with its computed XRD peak list. Radiation: Cu Kα (weighted mean of Kα1 and Kα2). Structure: a crystal structure in Alexandria, relaxed with PBE.

Cell and atoms:
Cell: 3.375 3.375 8.218 Å, 90.00 90.00 90.00°
Fractional coordinates of all 4 atoms:
Sm: 0.000 0.000 0.000
Pu: 0.000 0.000 0.575
Hg: 0.500 0.500 0.287
Ru: 0.500 0.500 0.778

Largest 12 diffraction maxima, in order of rising 2θ, 10° ≤ 2θ ≤ 80°:
| Position (°2θ) | intensity |
| --- | --- |
| 10.77 | 6 |
| 28.59 | 15 |
| 32.69 | 8 |
| 34.39 | 100 |
| 37.69 | 44 |
| 44.08 | 8 |
| 50.74 | 10 |
| 54.37 | 16 |
| 59.36 | 14 |
| 62.90 | 9 |
| 65.93 | 31 |
| 72.48 | 8 |

=====

7.
This entry pairs a crystal structure of Ce6Zn5Au with its computed XRD peak list. Radiation: Cu Kα (weighted mean of Kα1 and Kα2). Structure: a crystal structure in Alexandria, relaxed with PBE.

Cell and atoms:
Cell: 5.471 6.254 8.290 Å, 68.00 89.23 89.87°
Fractional coordinates of all 12 atoms:
Ce: 0.006 0.235 0.493
Ce: 0.333 0.397 0.173
Ce: 0.349 0.938 0.158
Ce: 0.651 0.062 0.842
Ce: 0.667 0.603 0.827
Ce: 0.994 0.765 0.507
Zn: 0.157 0.334 0.831
Zn: 0.159 0.829 0.844
Zn: 0.500 0.000 0.500
Zn: 0.841 0.171 0.156
Zn: 0.843 0.666 0.169
Au: 0.500 0.500 0.500

Largest 12 diffraction maxima, in order of rising 2θ, 10° ≤ 2θ ≤ 80°:
| Position (°2θ) | intensity |
| --- | --- |
| 34.99 | 100 |
| 40.21 | 17 |
| 40.75 | 16 |
| 40.90 | 16 |
| 58.58 | 11 |
| 58.70 | 11 |
| 59.08 | 5 |
| 59.14 | 5 |
| 69.70 | 10 |
| 70.45 | 8 |
| 70.68 | 12 |
| 73.88 | 8 |

=====

8.
This entry pairs a crystal structure of Ho3Sc2S6 with its computed XRD peak list. Radiation: Cu Kα (weighted mean of Kα1 and Kα2). Structure: a crystal structure in Alexandria, relaxed with PBE.

Cell and atoms:
Cell: 6.614 6.614 6.484 Å, 99.80 99.80 119.82°
Fractional coordinates of all 11 atoms:
Ho: 0.000 0.000 0.000
Ho: 0.337 0.663 0.000
Ho: 0.663 0.337 0.000
Sc: 0.165 0.835 0.500
Sc: 0.835 0.165 0.500
S: 0.084 0.420 0.261
S: 0.244 0.244 0.733
S: 0.420 0.084 0.261
S: 0.580 0.916 0.739
S: 0.756 0.756 0.267
S: 0.916 0.580 0.739

Largest 12 diffraction maxima, in order of rising 2θ, 10° ≤ 2θ ≤ 80°:
| Position (°2θ) | intensity |
| --- | --- |
| 14.52 | 57 |
| 27.38 | 45 |
| 28.68 | 34 |
| 29.29 | 11 |
| 33.42 | 100 |
| 36.61 | 23 |
| 47.54 | 24 |
| 47.67 | 12 |
| 48.38 | 34 |
| 49.97 | 11 |
| 59.46 | 12 |
| 70.20 | 11 |

=====

9.
This entry pairs a crystal structure of Ho8SnSe6 with its computed XRD peak list. Radiation: Cu Kα (weighted mean of Kα1 and Kα2). Structure: a crystal structure in Alexandria, relaxed with PBE.

Cell and atoms:
Cell: 10.497 10.497 4.016 Å, 90.00 90.00 120.00°
Fractional coordinates of all 15 atoms:
Ho: 0.035 0.320 0.252
Ho: 0.284 0.965 0.252
Ho: 0.320 0.284 0.748
Ho: 0.333 0.667 0.749
Ho: 0.667 0.333 0.251
Ho: 0.680 0.716 0.252
Ho: 0.716 0.035 0.748
Ho: 0.965 0.680 0.748
Sn: 0.000 0.000 0.500
Se: 0.131 0.648 0.251
Se: 0.352 0.483 0.251
Se: 0.483 0.131 0.749
Se: 0.517 0.869 0.251
Se: 0.648 0.517 0.749
Se: 0.869 0.352 0.749

Largest 12 diffraction maxima, in order of rising 2θ, 10° ≤ 2θ ≤ 80°:
| Position (°2θ) | intensity |
| --- | --- |
| 27.97 | 70 |
| 29.48 | 100 |
| 29.68 | 57 |
| 34.35 | 94 |
| 35.61 | 45 |
| 41.09 | 67 |
| 45.15 | 24 |
| 49.23 | 43 |
| 51.37 | 14 |
| 54.84 | 21 |
| 58.78 | 17 |
| 77.20 | 30 |

=====

10.
This entry pairs a crystal structure of Ba with its computed XRD peak list. Radiation: Cu Kα (weighted mean of Kα1 and Kα2). Structure: a crystal structure in Alexandria, relaxed with PBE.

Cell and atoms:
Cell: 6.950 6.950 6.950 Å, 107.12 107.12 114.28°
Fractional coordinates of all 4 atoms:
Ba: 0.177 0.677 0.854
Ba: 0.323 0.177 0.500
Ba: 0.677 0.823 0.500
Ba: 0.823 0.323 0.146

Largest 12 diffraction maxima, in order of rising 2θ, 10° ≤ 2θ ≤ 80°:
| Position (°2θ) | intensity |
| --- | --- |
| 21.53 | 31 |
| 23.59 | 34 |
| 26.88 | 100 |
| 32.15 | 23 |
| 34.35 | 10 |
| 42.09 | 11 |
| 43.55 | 27 |
| 46.68 | 10 |
| 46.95 | 32 |
| 52.95 | 14 |
| 58.97 | 16 |
| 67.02 | 7 |